Entry 1:
Computed powder diffractogram
Compound: CaF2
Radiation: CuKα
Structure: a crystal structure in the Materials Project, relaxed with GGA-PBE
Kinematic intensities with the Lorentz-polarization factor, no thermal factor.

```
data_CaF2
_chemical_formula_sum 'Ca2 F4'
_space_group_name_H-M_alt 'P m c 21'
_space_group_IT_number 26
_cell_length_a 3.5325
_cell_length_b 4.1674
_cell_length_c 5.9778
_cell_angle_alpha 90.00
_cell_angle_beta 90.00
_cell_angle_gamma 90.00
loop_
_space_group_symop_operation_xyz
'x,y,z'
'-x,-y,z+1/2'
'-x,y,z'
'x,-y,z+1/2'
loop_
_atom_site_label
_atom_site_type_symbol
_atom_site_fract_x
_atom_site_fract_y
_atom_site_fract_z
Ca1 Ca 0.0000 0.1450 0.0000
F1 F 0.0000 0.3668 0.6491
F2 F 0.5000 0.0896 0.2782
```

Largest 8 diffraction maxima, most intense first, 2θ from 10° to 80°:
two_theta	I_rel
39.49	100
25.21	87
36.58	83
45.31	73
21.32	66
53.29	63
46.13	58
26.06	46


Entry 2:
Computed powder diffractogram
Compound: Nb2Tl2O7
Radiation: CuKα
Structure: a crystal structure in the Materials Project, relaxed with GGA-PBE
Kinematic intensities with the Lorentz-polarization factor, no thermal factor.

Cell lengths 10.7740, 10.7740, 10.7740 Å; angles 90.00, 90.00, 90.00 degrees
Space group Fd-3m (No. 227, origin choice 2)
Inequivalent atoms, fractional coordinates:
Nb: 0.0000 0.0000 0.0000 x16
Tl: 0.0000 0.0000 0.5000 x16
O: 0.0622 0.3750 0.3750 x48
O: 0.1250 0.1250 0.6250 x8

Largest 8 diffraction maxima, most intense first, 2θ from 10° to 80°:
two_theta	I_rel
28.70	100
56.67	45
47.75	43
33.26	37
77.19	18
79.58	16
59.44	12
36.35	10


Entry 3:
Computed powder diffractogram
Compound: CsAcTe2
Radiation: CuKα
Structure: a crystal structure in the Materials Project, relaxed with GGA-PBE
Kinematic intensities with the Lorentz-polarization factor, no thermal factor.

```
data_CsAcTe2
_chemical_formula_sum 'Cs4 Ac4 Te8'
_space_group_name_H-M_alt 'F m -3 m'
_space_group_IT_number 225
_space_group_name_Hall '-F 4 2 3'
_cell_length_a 8.4534
_cell_length_b 8.4534
_cell_length_c 8.4534
_cell_angle_alpha 90.00
_cell_angle_beta 90.00
_cell_angle_gamma 90.00
loop_
_atom_site_label
_atom_site_type_symbol
_atom_site_fract_x
_atom_site_fract_y
_atom_site_fract_z
Cs1 Cs 0.0000 0.0000 0.0000
Ac1 Ac 0.0000 0.0000 0.5000
Te1 Te 0.2500 0.2500 0.2500
```

Largest 8 diffraction maxima, most intense first, 2θ from 10° to 80°:
two_theta	I_rel
29.90	100
53.07	40
42.79	19
70.45	17
62.11	13
18.18	5
78.37	4
21.02	3


Entry 4:
Computed powder diffractogram
Compound: CeSbPt5
Radiation: CuKα
Structure: a crystal structure in the Materials Project, relaxed with GGA-PBE
Kinematic intensities with the Lorentz-polarization factor, no thermal factor.

```
data_CeSbPt5
_chemical_formula_sum 'Ce6 Sb6 Pt30'
_space_group_name_H-M_alt 'R -3'
_space_group_IT_number 148
_space_group_name_Hall '-R 3'
_cell_length_a 5.3991
_cell_length_b 5.3991
_cell_length_c 31.4380
_cell_angle_alpha 90.00
_cell_angle_beta 90.00
_cell_angle_gamma 120.00
loop_
_atom_site_label
_atom_site_type_symbol
_atom_site_fract_x
_atom_site_fract_y
_atom_site_fract_z
Ce1 Ce 0.0000 0.0000 0.0000
Ce2 Ce 0.0000 0.0000 0.5000
Sb1 Sb 0.0000 0.0000 0.1055
Pt1 Pt 0.0000 0.0000 0.1864
Pt2 Pt 0.0000 0.0000 0.3340
Pt3 Pt 0.0022 0.5501 0.0733
```

Largest 8 diffraction maxima, most intense first, 2θ from 10° to 80°:
two_theta	I_rel
37.48	100
34.25	55
43.65	43
33.19	38
38.62	36
69.65	32
42.31	30
42.07	28


Entry 5:
Computed powder diffractogram
Compound: Ti3Ni4
Radiation: CuKα
Structure: a crystal structure in the Materials Project, relaxed with GGA-PBE
Kinematic intensities with the Lorentz-polarization factor, no thermal factor.

```
data_Ti3Ni4
_chemical_formula_sum 'Ti18 Ni24'
_space_group_name_H-M_alt 'R -3'
_space_group_IT_number 148
_space_group_name_Hall '-R 3'
_cell_length_a 11.2145
_cell_length_b 11.2145
_cell_length_c 5.0556
_cell_angle_alpha 90.00
_cell_angle_beta 90.00
_cell_angle_gamma 120.00
loop_
_atom_site_label
_atom_site_type_symbol
_atom_site_fract_x
_atom_site_fract_y
_atom_site_fract_z
Ti1 Ti 0.0430 0.8230 0.2144
Ni1 Ni 0.0000 0.0000 0.0000
Ni2 Ni 0.0000 0.0000 0.5000
Ni3 Ni 0.0525 0.7884 0.7038
```

Largest 8 diffraction maxima, most intense first, 2θ from 10° to 80°:
two_theta	I_rel
42.66	100
43.47	90
62.54	21
78.67	18
78.11	10
37.84	10
49.45	10
44.43	9


Entry 6:
Computed powder diffractogram
Compound: HfAlPt2
Radiation: CuKα
Structure: a crystal structure in the Materials Project, relaxed with GGA-PBE
Kinematic intensities with the Lorentz-polarization factor, no thermal factor.

```
data_HfAlPt2
_chemical_formula_sum 'Hf4 Al4 Pt8'
_space_group_name_H-M_alt 'F m -3 m'
_space_group_IT_number 225
_space_group_name_Hall '-F 4 2 3'
_cell_length_a 6.4588
_cell_length_b 6.4588
_cell_length_c 6.4588
_cell_angle_alpha 90.00
_cell_angle_beta 90.00
_cell_angle_gamma 90.00
loop_
_atom_site_label
_atom_site_type_symbol
_atom_site_fract_x
_atom_site_fract_y
_atom_site_fract_z
Hf1 Hf 0.0000 0.0000 0.0000
Al1 Al 0.0000 0.0000 0.5000
Pt1 Pt 0.2500 0.2500 0.2500
```

Largest 8 diffraction maxima, most intense first, 2θ from 10° to 80°:
two_theta	I_rel
39.46	100
71.57	35
57.04	17
23.86	16
27.62	12
46.64	8
64.52	5
48.85	3